The following is a computed X-ray powder pattern of LiEr2Tl2W4O16. It was derived from a structure optimized by DFT (GGA+U), using copper Kα.
Intensities are scaled so that the largest is 100.

Structural model:
a b c (Å): 7.762 7.762 7.549
angles (deg): 118.43 118.43 87.42
Fractional coordinates of all 25 atoms:
Li 0.000 0.000 0.000
Er 0.285 0.715 0.000
Er 0.733 0.267 0.500
Tl 0.300 0.700 0.500
Tl 0.715 0.285 0.000
W 0.204 0.200 0.463
W 0.220 0.191 0.955
W 0.800 0.796 0.537
W 0.809 0.780 0.045
O 0.099 0.870 0.796
O 0.130 0.901 0.204
O 0.145 0.256 0.203
O 0.152 0.439 0.633
O 0.266 0.122 0.693
O 0.271 0.461 0.055
O 0.457 0.139 0.132
O 0.472 0.255 0.556
O 0.539 0.729 0.945
O 0.561 0.848 0.367
O 0.744 0.855 0.797
O 0.745 0.528 0.444
O 0.861 0.543 0.868
O 0.878 0.734 0.307
O 0.886 0.084 0.288
O 0.916 0.114 0.712

Largest 12 diffraction maxima, most intense first, 2θ = 10–90°:
| d (Å) | intensity |
| --- | --- |
| 3.317 | 100 |
| 3.087 | 93 |
| 2.840 | 35 |
| 3.294 | 33 |
| 2.788 | 30 |
| 2.682 | 18 |
| 1.950 | 17 |
| 1.630 | 16 |
| 1.651 | 16 |
| 1.706 | 16 |
| 1.933 | 15 |
| 2.722 | 15 |

The following is a computed X-ray powder pattern of LiErW2O8. It was derived from a structure optimized by DFT (GGA+U), using copper Kα.
Intensities are scaled so that the largest is 100.

Structural model:
a b c (Å): 5.088 5.889 10.957
angles (deg): 90.00 113.53 90.00
Fractional coordinates of all 24 atoms:
Li 0.000 0.247 0.250
Li 0.000 0.753 0.750
Er 0.500 0.315 0.750
Er 0.500 0.685 0.250
W 0.264 0.177 0.014
W 0.264 0.823 0.514
W 0.736 0.177 0.486
W 0.736 0.823 0.986
O 0.150 0.110 0.598
O 0.150 0.890 0.098
O 0.230 0.373 0.136
O 0.230 0.627 0.636
O 0.289 0.372 0.890
O 0.289 0.628 0.390
O 0.350 0.085 0.388
O 0.350 0.915 0.888
O 0.650 0.085 0.112
O 0.650 0.915 0.612
O 0.711 0.372 0.610
O 0.711 0.628 0.110
O 0.770 0.373 0.364
O 0.770 0.627 0.864
O 0.850 0.110 0.902
O 0.850 0.890 0.402

Largest 12 diffraction maxima, most intense first, 2θ = 10–90°:
| d (Å) | intensity |
| --- | --- |
| 3.135 | 100 |
| 2.977 | 85 |
| 3.822 | 40 |
| 2.547 | 33 |
| 5.023 | 29 |
| 2.538 | 26 |
| 1.828 | 25 |
| 3.845 | 25 |
| 4.665 | 23 |
| 5.081 | 19 |
| 4.406 | 19 |
| 2.945 | 19 |

The following is a computed X-ray powder pattern of Er2MgV2O8. It was derived from a structure optimized by DFT (GGA+U), using copper Kα.
Intensities are scaled so that the largest is 100.

Structural model:
a b c (Å): 5.949 5.949 6.473
angles (deg): 120.25 120.25 73.42
Fractional coordinates of all 13 atoms:
Er 0.214 0.214 0.072
Er 0.786 0.786 0.928
Mg 0.774 0.226 0.500
V 0.311 0.242 0.645
V 0.758 0.689 0.355
O 0.056 0.104 0.286
O 0.077 0.431 0.800
O 0.425 0.027 0.794
O 0.520 0.423 0.669
O 0.569 0.923 0.200
O 0.577 0.480 0.331
O 0.896 0.944 0.714
O 0.973 0.575 0.206

Largest 12 diffraction maxima, most intense first, 2θ = 10–90°:
| d (Å) | intensity |
| --- | --- |
| 3.556 | 100 |
| 3.710 | 97 |
| 2.791 | 87 |
| 2.681 | 86 |
| 5.035 | 54 |
| 2.567 | 51 |
| 4.782 | 40 |
| 2.905 | 37 |
| 1.834 | 37 |
| 2.361 | 31 |
| 1.868 | 31 |
| 1.841 | 30 |

The following is a computed X-ray powder pattern of Er2MgV2O8. It was derived from a structure optimized by DFT (GGA+U), using copper Kα.
Intensities are scaled so that the largest is 100.

Structural model:
a b c (Å): 6.032 6.032 6.180
angles (deg): 106.10 106.10 115.38
Fractional coordinates of all 13 atoms:
Er 0.000 0.000 0.000
Er 0.716 0.284 0.500
Mg 0.706 0.294 0.000
V 0.226 0.774 0.500
V 0.439 0.561 0.000
O 0.033 0.405 0.289
O 0.039 0.761 0.685
O 0.077 0.342 0.818
O 0.239 0.961 0.315
O 0.481 0.345 0.164
O 0.595 0.967 0.711
O 0.655 0.519 0.836
O 0.658 0.923 0.182

Largest 12 diffraction maxima, most intense first, 2θ = 10–90°:
| d (Å) | intensity |
| --- | --- |
| 3.668 | 100 |
| 4.843 | 55 |
| 2.725 | 35 |
| 1.870 | 31 |
| 2.285 | 25 |
| 2.756 | 25 |
| 2.748 | 24 |
| 2.893 | 19 |
| 1.834 | 17 |
| 2.641 | 16 |
| 1.899 | 16 |
| 1.894 | 15 |

The following is a computed X-ray powder pattern of ErMn2O3. It was derived from a structure optimized by DFT (GGA+U), using copper Kα.
Intensities are scaled so that the largest is 100.

Structural model:
a b c (Å): 6.440 9.211 5.978
angles (deg): 90.00 90.00 90.00
Fractional coordinates of all 24 atoms:
Er 0.108 0.169 0.000
Er 0.392 0.669 0.000
Er 0.608 0.331 0.000
Er 0.892 0.831 0.000
Mn 0.000 0.500 0.264
Mn 0.000 0.500 0.736
Mn 0.099 0.849 0.500
Mn 0.401 0.349 0.500
Mn 0.500 0.000 0.264
Mn 0.500 0.000 0.736
Mn 0.599 0.651 0.500
Mn 0.901 0.151 0.500
O 0.000 0.000 0.242
O 0.000 0.000 0.758
O 0.104 0.698 0.231
O 0.104 0.698 0.769
O 0.396 0.198 0.231
O 0.396 0.198 0.769
O 0.500 0.500 0.242
O 0.500 0.500 0.758
O 0.604 0.802 0.231
O 0.604 0.802 0.769
O 0.896 0.302 0.231
O 0.896 0.302 0.769

Largest 12 diffraction maxima, most intense first, 2θ = 10–90°:
| d (Å) | intensity |
| --- | --- |
| 2.709 | 100 |
| 3.174 | 69 |
| 5.978 | 60 |
| 2.771 | 58 |
| 2.601 | 51 |
| 1.850 | 31 |
| 2.032 | 31 |
| 2.507 | 28 |
| 1.667 | 26 |
| 2.131 | 25 |
| 1.519 | 23 |
| 3.220 | 22 |

The following is a computed X-ray powder pattern of Er2Mn3Sb3O14. It was derived from a structure optimized by DFT (GGA+U), using copper Kα.
Intensities are scaled so that the largest is 100.

Structural model:
a b c (Å): 7.159 7.159 7.253
angles (deg): 118.70 118.70 61.50
Fractional coordinates of all 22 atoms:
Er 0.000 0.500 0.000
Er 0.500 0.000 0.000
Mn 0.000 0.000 0.000
Mn 0.000 0.000 0.500
Mn 0.500 0.500 0.500
Sb 0.000 0.500 0.500
Sb 0.500 0.000 0.500
Sb 0.500 0.500 0.000
O 0.121 0.121 0.874
O 0.169 0.579 0.827
O 0.170 0.170 0.426
O 0.172 0.572 0.411
O 0.408 0.408 0.148
O 0.421 0.831 0.173
O 0.428 0.828 0.589
O 0.572 0.172 0.411
O 0.579 0.169 0.827
O 0.592 0.592 0.852
O 0.828 0.428 0.589
O 0.830 0.830 0.574
O 0.831 0.421 0.173
O 0.879 0.879 0.126

Largest 12 diffraction maxima, most intense first, 2θ = 10–90°:
| d (Å) | intensity |
| --- | --- |
| 2.974 | 100 |
| 3.007 | 52 |
| 2.905 | 47 |
| 2.575 | 40 |
| 1.563 | 35 |
| 1.837 | 33 |
| 1.789 | 30 |
| 5.103 | 20 |
| 2.551 | 19 |
| 1.830 | 16 |
| 1.812 | 16 |
| 1.548 | 14 |

The following is a computed X-ray powder pattern of Na2ErMoPO8. It was derived from a structure optimized by DFT (GGA+U), using copper Kα.
Intensities are scaled so that the largest is 100.

Structural model:
a b c (Å): 11.477 11.477 11.477
angles (deg): 144.99 116.06 75.03
Fractional coordinates of all 52 atoms:
Na 0.100 0.658 0.450
Na 0.208 0.158 0.059
Na 0.292 0.350 0.950
Na 0.400 0.850 0.559
Na 0.600 0.150 0.441
Na 0.708 0.650 0.050
Na 0.792 0.842 0.941
Na 0.900 0.342 0.550
Er 0.178 0.750 0.928
Er 0.322 0.250 0.572
Er 0.678 0.750 0.428
Er 0.822 0.250 0.072
Mo 0.073 0.823 0.250
Mo 0.427 0.677 0.750
Mo 0.573 0.323 0.250
Mo 0.927 0.177 0.750
P 0.069 0.250 0.319
P 0.431 0.750 0.181
P 0.569 0.250 0.819
P 0.931 0.750 0.681
O 0.060 0.327 0.252
O 0.076 0.827 0.767
O 0.101 0.189 0.828
O 0.105 0.668 0.014
O 0.140 0.727 0.328
O 0.142 0.419 0.574
O 0.155 0.091 0.486
O 0.156 0.081 0.223
O 0.344 0.568 0.926
O 0.345 0.832 0.936
O 0.358 0.932 0.277
O 0.360 0.689 0.587
O 0.395 0.409 0.564
O 0.399 0.227 0.087
O 0.424 0.191 0.752
O 0.440 0.691 0.267
O 0.560 0.309 0.733
O 0.576 0.809 0.248
O 0.601 0.773 0.913
O 0.605 0.591 0.436
O 0.640 0.311 0.413
O 0.642 0.068 0.723
O 0.655 0.168 0.064
O 0.656 0.432 0.074
O 0.844 0.919 0.777
O 0.845 0.909 0.514
O 0.858 0.581 0.426
O 0.860 0.273 0.672
O 0.895 0.332 0.986
O 0.899 0.811 0.172
O 0.924 0.173 0.233
O 0.940 0.673 0.748

Largest 12 diffraction maxima, most intense first, 2θ = 10–90°:
| d (Å) | intensity |
| --- | --- |
| 3.228 | 100 |
| 2.750 | 72 |
| 6.077 | 55 |
| 2.528 | 45 |
| 4.425 | 44 |
| 3.035 | 43 |
| 5.012 | 36 |
| 4.552 | 32 |
| 3.262 | 32 |
| 1.900 | 32 |
| 1.824 | 30 |
| 3.646 | 28 |

The following is a computed X-ray powder pattern of Er2Mo4O15. It was derived from a structure optimized by DFT (GGA+U), using copper Kα.
Intensities are scaled so that the largest is 100.

Structural model:
a b c (Å): 6.886 9.688 10.670
angles (deg): 90.00 105.23 90.00
Fractional coordinates of all 42 atoms:
Er 0.211 0.023 0.276
Er 0.211 0.477 0.776
Er 0.789 0.523 0.224
Er 0.789 0.977 0.724
Mo 0.082 0.743 0.011
Mo 0.082 0.757 0.511
Mo 0.379 0.096 0.844
Mo 0.379 0.404 0.344
Mo 0.621 0.596 0.656
Mo 0.621 0.904 0.156
Mo 0.918 0.243 0.489
Mo 0.918 0.257 0.989
O 0.024 0.126 0.396
O 0.024 0.374 0.896
O 0.117 0.166 0.102
O 0.117 0.334 0.602
O 0.119 0.056 0.816
O 0.119 0.444 0.316
O 0.221 0.650 0.918
O 0.221 0.850 0.418
O 0.244 0.635 0.619
O 0.244 0.865 0.119
O 0.386 0.221 0.352
O 0.386 0.279 0.852
O 0.449 0.028 0.707
O 0.449 0.472 0.207
O 0.500 0.000 0.000
O 0.500 0.500 0.500
O 0.551 0.528 0.793
O 0.551 0.972 0.293
O 0.614 0.721 0.148
O 0.614 0.779 0.648
O 0.756 0.135 0.881
O 0.756 0.365 0.381
O 0.779 0.150 0.582
O 0.779 0.350 0.082
O 0.881 0.556 0.684
O 0.881 0.944 0.184
O 0.883 0.666 0.398
O 0.883 0.834 0.898
O 0.976 0.626 0.104
O 0.976 0.874 0.604

Largest 12 diffraction maxima, most intense first, 2θ = 10–90°:
| d (Å) | intensity |
| --- | --- |
| 3.528 | 100 |
| 4.453 | 59 |
| 3.378 | 44 |
| 3.239 | 35 |
| 4.238 | 35 |
| 3.200 | 34 |
| 2.013 | 31 |
| 3.633 | 28 |
| 2.646 | 27 |
| 2.738 | 25 |
| 2.904 | 25 |
| 2.353 | 21 |